For TlAg3S3, a structure optimized by DFT (PBE) gives the computed powder diffractogram in this record (copper Kα).
No peak broadening, texture or thermal motion is included.

Peak list (12 most intense, 5° ≤ 2θ ≤ 70°, by intensity)
hkl 3 0 0, 26.37°, rel. 100.0
hkl 1 1 3, 32.20°, rel. 46.2
hkl 2 3 2, 43.34°, rel. 45.3
hkl 0 1 2, 20.69°, rel. 39.5
hkl 1 2 2, 29.99°, rel. 36.8
hkl 2 0 2, 25.74°, rel. 30.8
hkl 0 2 4, 42.09°, rel. 26.5
hkl 3 3 0, 46.55°, rel. 23.1
hkl 1 3 4, 50.36°, rel. 21.5
hkl 2 1 1, 25.07°, rel. 18.0
hkl 3 2 4, 55.35°, rel. 16.7
hkl 5 0 2, 48.86°, rel. 14.2

Atomic structure:
```
data_TlAg3S3
_space_group_name_H-M_alt 'R 3 c'
_space_group_IT_number 161
_space_group_name_Hall 'R 3 -2"c'
_cell_length_a 11.7062
_cell_length_b 11.7062
_cell_length_c 9.4772
_cell_angle_alpha 90.00
_cell_angle_beta 90.00
_cell_angle_gamma 120.00
loop_
_atom_site_label
_atom_site_type_symbol
_atom_site_fract_x
_atom_site_fract_y
_atom_site_fract_z
Tl1 Tl 0.0000 0.0000 0.0000
Ag1 Ag 0.0448 0.3561 0.3622
S1 S 0.0845 0.5358 0.1999
```

For LaGd2Sn4Pb3, a structure optimized by DFT (PBE) gives the computed powder diffractogram in this record (copper Kα).
No peak broadening, texture or thermal motion is included.

Peak list (12 most intense, 5° ≤ 2θ ≤ 70°, by intensity)
hkl 1 5 1, 32.18°, rel. 100.0
hkl 2 10 0, 52.97°, rel. 22.9
hkl 0 10 0, 35.00°, rel. 18.3
hkl 0 0 2, 38.40°, rel. 16.1
hkl 2 0 0, 38.51°, rel. 16.0
hkl 1 5 3, 65.56°, rel. 13.5
hkl 3 5 1, 65.72°, rel. 13.3
hkl 1 15 1, 61.01°, rel. 13.2
hkl 2 10 2, 67.33°, rel. 11.3
hkl 2 0 2, 55.51°, rel. 11.3
hkl 0 4 1, 23.51°, rel. 4.1
hkl 0 2 0, 6.90°, rel. 3.1

Atomic structure:
```
data_LaGd2Sn4Pb3
_space_group_name_H-M_alt 'C m m m'
_space_group_IT_number 65
_space_group_name_Hall '-C 2 2'
_cell_length_a 4.675
_cell_length_b 25.638
_cell_length_c 4.689
_cell_angle_alpha 90.00
_cell_angle_beta 90.00
_cell_angle_gamma 90.00
loop_
_atom_site_label
_atom_site_type_symbol
_atom_site_fract_x
_atom_site_fract_y
_atom_site_fract_z
La1 La 0.000 0.000 0.000
Gd1 Gd 0.000 0.190 0.000
Sn1 Sn 0.000 0.101 0.500
Sn2 Sn 0.000 0.291 0.500
Pb1 Pb 0.000 0.400 0.000
Pb2 Pb 0.000 0.500 0.500
```

For HoTlCdS3, a structure optimized by DFT (PBE) gives the computed powder diffractogram in this record (copper Kα).
No peak broadening, texture or thermal motion is included.

Peak list (12 most intense, 5° ≤ 2θ ≤ 70°, by intensity)
hkl 1 1 3, 31.84°, rel. 100.0
hkl 2 1 0, 26.37°, rel. 64.5
hkl 0 0 6, 44.23°, rel. 64.4
hkl 3 0 1, 23.27°, rel. 64.4
hkl 1 0 3, 22.94°, rel. 59.0
hkl 4 0 2, 33.09°, rel. 56.1
hkl 2 1 1, 27.37°, rel. 45.1
hkl 1 1 2, 27.27°, rel. 44.2
hkl 2 1 2, 30.19°, rel. 44.2
hkl 0 2 0, 44.41°, rel. 32.8
hkl 5 1 5, 58.17°, rel. 24.2
hkl 3 1 4, 43.19°, rel. 23.9

Atomic structure:
```
data_HoTlCdS3
_space_group_name_H-M_alt 'P n m a'
_space_group_IT_number 62
_cell_length_a 12.066
_cell_length_b 4.080
_cell_length_c 12.280
_cell_angle_alpha 90.00
_cell_angle_beta 90.00
_cell_angle_gamma 90.00
loop_
_space_group_symop_operation_xyz
'x,y,z'
'-x,-y,-z'
'-x+1/2,-y,z+1/2'
'x+1/2,y,-z+1/2'
'x+1/2,-y+1/2,-z+1/2'
'-x+1/2,y+1/2,z+1/2'
'-x,y+1/2,-z'
'x,-y+1/2,z'
loop_
_atom_site_label
_atom_site_type_symbol
_atom_site_fract_x
_atom_site_fract_y
_atom_site_fract_z
Ho1 Ho 0.033 0.250 0.159
Tl1 Tl 0.146 0.250 0.517
Cd1 Cd 0.249 0.750 0.304
S1 S 0.036 0.750 0.313
S2 S 0.091 0.250 0.936
S3 S 0.242 0.750 0.675
```

For LaNdSi2Mo2C, a structure optimized by DFT (PBE) gives the computed powder diffractogram in this record (copper Kα).
No peak broadening, texture or thermal motion is included.

Peak list (12 most intense, 5° ≤ 2θ ≤ 70°, by intensity)
hkl 1 1 -2, 34.06°, rel. 100.0
hkl 3 1 -1, 32.88°, rel. 90.8
hkl 2 0 1, 30.86°, rel. 44.0
hkl 4 0 -3, 38.58°, rel. 29.8
hkl 0 2 0, 45.87°, rel. 26.8
hkl 4 0 -1, 32.67°, rel. 23.8
hkl 2 0 -2, 24.07°, rel. 21.8
hkl 1 1 0, 24.52°, rel. 19.8
hkl 1 1 1, 31.69°, rel. 19.5
hkl 1 1 3, 57.73°, rel. 16.5
hkl 2 2 1, 56.30°, rel. 16.0
hkl 3 1 0, 37.26°, rel. 16.0

Atomic structure:
```
data_LaNdSi2Mo2C
_space_group_name_H-M_alt 'C 1 m 1'
_space_group_IT_number 8
_cell_length_a 11.326
_cell_length_b 3.957
_cell_length_c 7.416
_cell_angle_alpha 90.00
_cell_angle_beta 126.22
_cell_angle_gamma 90.00
loop_
_space_group_symop_operation_xyz
'x,y,z'
'x,-y,z'
'x+1/2,y+1/2,z'
'x+1/2,-y+1/2,z'
loop_
_atom_site_label
_atom_site_type_symbol
_atom_site_fract_x
_atom_site_fract_y
_atom_site_fract_z
La1 La 0.000 0.000 0.000
Nd1 Nd 0.153 0.000 0.603
Si1 Si 0.212 0.500 0.980
Si2 Si 0.442 0.000 0.625
Mo1 Mo 0.283 0.500 0.383
Mo2 Mo 0.373 0.000 0.225
C1 C 0.079 0.500 0.307
```